(1)
Simulated PXRD pattern
Compound: Li2CoGeO4
Radiation: CuKα
Structure: a cell relaxed with PBE+U
No peak broadening, texture or thermal motion is included.

Structure:
Unit cell a=6.345 b=5.561 c=5.101 alpha=90.00 beta=90.00 gamma=90.00
Space group Pmn2_1 (No. 31)
Symmetry-distinct sites (fractional):
Li1 0.249 0.166 0.000 x4
Co1 0.000 0.335 0.499 x2
Ge1 0.000 0.669 0.994 x2
O1 0.000 0.364 0.106 x2
O2 0.000 0.668 0.644 x2
O3 0.230 0.823 0.107 x4

Largest 6 diffraction maxima, sorted by position, 2θ = 10–80°:
| index | 2theta | d/Å | intensity |
| --- | --- | --- | --- |
| 0 1 0 | 15.94 | 5.561 | 44 |
| 0 1 1 | 23.67 | 3.759 | 100 |
| 2 0 0 | 28.13 | 3.173 | 40 |
| 2 1 0 | 32.49 | 2.756 | 38 |
| 0 0 2 | 35.19 | 2.550 | 37 |
| 2 1 1 | 37.08 | 2.425 | 42 |

(2)
Simulated PXRD pattern
Compound: MnZnPO5
Radiation: CuKα
Structure: a cell relaxed with PBE+U
No peak broadening, texture or thermal motion is included.

Structure:
Unit cell a=7.388 b=8.297 c=6.981 alpha=90.00 beta=117.35 gamma=90.00
Space group Cc (No. 9)
Symmetry-distinct sites (fractional):
Mn1 0.000 0.001 0.000 x4
Zn1 0.499 0.186 0.244 x4
P1 0.000 0.361 0.250 x4
O1 0.000 0.085 0.750 x4
O2 0.019 0.255 0.079 x4
O3 0.182 0.486 0.354 x4
O4 0.319 0.015 0.645 x4
O5 0.482 0.244 0.923 x4

Largest 6 diffraction maxima, sorted by position, 2θ = 10–80°:
| index | 2theta | d/Å | intensity |
| --- | --- | --- | --- |
| 1 1 -1 | 18.00 | 4.928 | 16 |
| 2 0 0 | 27.18 | 3.281 | 100 |
| 1 1 -2 | 27.73 | 3.217 | 81 |
| 1 3 0 | 35.22 | 2.548 | 54 |
| 2 0 -4 | 52.43 | 1.745 | 16 |
| 3 3 0 | 53.39 | 1.716 | 39 |

(3)
Simulated PXRD pattern
Compound: Fe11O12
Radiation: CuKα
Structure: a cell relaxed with PBE+U
No peak broadening, texture or thermal motion is included.

Structure:
Unit cell a=6.242 b=6.840 c=6.900 alpha=71.82 beta=63.60 gamma=76.28
Space group P-1 (No. 2)
Symmetry-distinct sites (fractional):
Fe1 0.000 0.000 0.000 x1
Fe2 0.091 0.324 0.164 x2
Fe3 0.173 0.675 0.328 x2
Fe4 0.259 0.999 0.480 x2
Fe5 0.336 0.324 0.677 x2
Fe6 0.417 0.679 0.837 x2
O1 0.058 0.664 0.074 x2
O2 0.099 0.996 0.266 x2
O3 0.226 0.342 0.405 x2
O4 0.296 0.658 0.598 x2
O5 0.368 0.993 0.737 x2
O6 0.456 0.361 0.919 x2

Largest 6 diffraction maxima, sorted by position, 2θ = 10–80°:
| index | 2theta | d/Å | intensity |
| --- | --- | --- | --- |
| 2 2 1 | 35.33 | 2.540 | 45 |
| 2 -1 1 | 35.71 | 2.514 | 87 |
| 2 0 -1 | 40.92 | 2.205 | 100 |
| 2 1 3 | 41.29 | 2.186 | 97 |
| 0 3 0 | 41.99 | 2.152 | 91 |
| 2 3 -1 | 59.90 | 1.544 | 54 |

(4)
Simulated PXRD pattern
Compound: LiCo2OF3
Radiation: CuKα
Structure: a cell relaxed with PBE+U
No peak broadening, texture or thermal motion is included.

Structure:
Unit cell a=6.0270 b=6.0270 c=15.1674 alpha=90.00 beta=90.00 gamma=120.00
Space group R3m (No. 160, hexagonal axes)
Symmetry-distinct sites (fractional):
Li1 0.0000 0.0000 0.0000 x3
Li2 0.0000 0.0000 0.3596 x3
Co1 0.0000 0.0000 0.6455 x3
Co2 0.1713 0.3425 0.8313 x9
O1 0.0000 0.0000 0.2305 x3
O2 0.0000 0.0000 0.7705 x3
F1 0.0152 0.5076 0.7431 x9
F2 0.1719 0.3438 0.5858 x9

Largest 6 diffraction maxima, sorted by position, 2θ = 10–80°:
| index | 2theta | d/Å | intensity |
| --- | --- | --- | --- |
| 0 0 3 | 17.54 | 5.056 | 56 |
| 0 1 2 | 20.66 | 4.300 | 65 |
| 1 0 4 | 29.11 | 3.068 | 53 |
| 1 1 3 | 34.65 | 2.589 | 53 |
| 0 2 1 | 34.88 | 2.572 | 100 |
| 0 2 4 | 42.03 | 2.150 | 87 |

(5)
Simulated PXRD pattern
Compound: Li3FeB2O6
Radiation: CuKα
Structure: a cell relaxed with PBE+U
No peak broadening, texture or thermal motion is included.

Structure:
Unit cell a=5.224 b=6.884 c=7.875 alpha=71.95 beta=83.42 gamma=88.39
Space group P-1 (No. 2)
Symmetry-distinct sites (fractional):
Li1 0.010 0.259 0.267 x2
Li2 0.236 0.401 0.782 x2
Li3 0.301 0.561 0.411 x2
Fe1 0.417 0.002 0.805 x2
B1 0.246 0.704 0.080 x2
B2 0.427 0.219 0.442 x2
O1 0.129 0.548 0.212 x2
O2 0.143 0.808 0.921 x2
O3 0.275 0.205 0.607 x2
O4 0.340 0.110 0.336 x2
O5 0.369 0.650 0.610 x2
O6 0.490 0.785 0.092 x2

Largest 6 diffraction maxima, sorted by position, 2θ = 10–80°:
| index | 2theta | d/Å | intensity |
| --- | --- | --- | --- |
| 0 1 0 | 13.53 | 6.545 | 73 |
| 1 0 0 | 17.09 | 5.189 | 100 |
| 1 -1 0 | 21.80 | 4.078 | 63 |
| -1 1 1 | 23.74 | 3.748 | 61 |
| 0 2 2 | 30.30 | 2.950 | 42 |
| 1 -1 2 | 34.28 | 2.616 | 40 |

(6)
Simulated PXRD pattern
Compound: RbNdMo2O8
Radiation: CuKα
Structure: a cell relaxed with PBE+U
No peak broadening, texture or thermal motion is included.

Structure:
Unit cell a=5.265 b=18.994 c=8.435 alpha=90.00 beta=90.00 gamma=90.00
Space group Pbcn (No. 60)
Symmetry-distinct sites (fractional):
Rb1 0.000 0.231 0.250 x4
Nd1 0.000 0.007 0.750 x4
Mo1 0.024 0.399 0.519 x8
O1 0.098 0.313 0.973 x8
O2 0.228 0.400 0.348 x8
O3 0.236 0.409 0.688 x8
O4 0.243 0.463 0.004 x8

Largest 6 diffraction maxima, sorted by position, 2θ = 10–80°:
| index | 2theta | d/Å | intensity |
| --- | --- | --- | --- |
| 1 3 0 | 21.96 | 4.048 | 38 |
| 1 1 2 | 27.50 | 3.244 | 100 |
| 0 4 2 | 28.30 | 3.153 | 51 |
| 1 5 0 | 28.98 | 3.081 | 58 |
| 2 4 2 | 44.85 | 2.021 | 43 |
| 1 9 2 | 51.43 | 1.777 | 22 |

(7)
Simulated PXRD pattern
Compound: MgCr4Pb4O16
Radiation: CuKα
Structure: a cell relaxed with PBE+U
No peak broadening, texture or thermal motion is included.

Structure:
Unit cell a=7.016 b=7.469 c=8.154 alpha=92.56 beta=90.73 gamma=104.22
Space group P1 (No. 1)
Symmetry-distinct sites (fractional):
Mg1 0.000 0.000 0.000 x1
Cr1 0.045 0.201 0.731 x1
Cr2 0.308 0.087 0.281 x1
Cr3 0.549 0.674 0.932 x1
Cr4 0.819 0.570 0.433 x1
Pb1 0.012 0.566 0.001 x1
Pb2 0.332 0.560 0.468 x1
Pb3 0.486 0.122 0.725 x1
Pb4 0.753 0.078 0.322 x1
O1 0.124 0.912 0.182 x1
O2 0.125 0.004 0.781 x1
O3 0.194 0.252 0.349 x1
O4 0.258 0.356 0.689 x1
O5 0.367 0.605 0.063 x1
O6 0.434 0.009 0.447 x1
O7 0.463 0.754 0.765 x1
O8 0.486 0.148 0.143 x1
O9 0.621 0.415 0.495 x1
O10 0.649 0.501 0.882 x1
O11 0.731 0.844 0.022 x1
O12 0.742 0.758 0.399 x1
O13 0.837 0.145 0.612 x1
O14 0.901 0.480 0.260 x1
O15 0.974 0.249 0.935 x1
O16 0.999 0.607 0.572 x1

Largest 6 diffraction maxima, sorted by position, 2θ = 10–80°:
| index | 2theta | d/Å | intensity |
| --- | --- | --- | --- |
| 1 0 1 | 17.19 | 5.157 | 27 |
| 0 2 0 | 24.59 | 3.620 | 100 |
| 0 1 2 | 25.63 | 3.476 | 46 |
| 2 0 -1 | 28.20 | 3.165 | 36 |
| 2 -1 1 | 28.33 | 3.150 | 27 |
| -2 2 1 | 33.48 | 2.677 | 19 |

(8)
Simulated PXRD pattern
Compound: MgMn4O8
Radiation: CuKα
Structure: a cell relaxed with PBE+U
No peak broadening, texture or thermal motion is included.

Structure:
Unit cell a=8.264 b=8.388 c=8.755 alpha=90.00 beta=90.00 gamma=90.00
Space group F222 (No. 22)
Symmetry-distinct sites (fractional):
Mg1 0.000 0.000 0.000 x4
Mn1 0.123 0.123 0.377 x16
O1 0.110 0.108 0.611 x16
O2 0.137 0.139 0.136 x16

Largest 6 diffraction maxima, sorted by position, 2θ = 10–80°:
| index | 2theta | d/Å | intensity |
| --- | --- | --- | --- |
| 1 1 1 | 18.16 | 4.885 | 100 |
| 1 1 3 | 34.30 | 2.615 | 25 |
| 1 3 1 | 35.41 | 2.535 | 21 |
| 3 1 1 | 35.81 | 2.507 | 21 |
| 0 0 4 | 41.25 | 2.189 | 22 |
| 0 4 0 | 43.14 | 2.097 | 19 |

(9)
Simulated PXRD pattern
Compound: Ba3FeGe5O14
Radiation: CuKα
Structure: a cell relaxed with PBE+U
No peak broadening, texture or thermal motion is included.

Structure:
Unit cell a=8.6077 b=8.6077 c=5.4057 alpha=90.00 beta=90.00 gamma=120.00
Space group P3 (No. 143)
Symmetry-distinct sites (fractional):
Ba1 0.0000 0.5850 0.0000 x3
Fe1 0.0000 0.0000 0.9994 x1
Ge1 0.9998 0.2472 0.5001 x3
Ge2 0.3333 0.6667 0.4957 x1
Ge3 0.6667 0.3333 0.5048 x1
O1 0.1119 0.8836 0.7490 x3
O2 0.1603 0.4659 0.3485 x3
O3 0.2285 0.1159 0.2504 x3
O4 0.3333 0.6667 0.8140 x1
O5 0.4657 0.1609 0.6518 x3
O6 0.6667 0.3333 0.1868 x1

Largest 6 diffraction maxima, sorted by position, 2θ = 10–80°:
| index | 2theta | d/Å | intensity |
| --- | --- | --- | --- |
| 1 1 1 | 26.47 | 3.367 | 100 |
| 2 0 1 | 29.10 | 3.069 | 84 |
| 1 2 0 | 31.76 | 2.818 | 36 |
| 0 0 2 | 33.14 | 2.703 | 21 |
| 3 -1 2 | 46.56 | 1.950 | 27 |
| 5 -2 1 | 56.43 | 1.631 | 21 |

(10)
Simulated PXRD pattern
Compound: Sr2FeCoO6
Radiation: CuKα
Structure: a cell relaxed with PBE+U
No peak broadening, texture or thermal motion is included.

Structure:
Unit cell a=5.484 b=5.484 c=3.837 alpha=90.00 beta=90.00 gamma=90.00
Space group P4/mmm (No. 123)
Symmetry-distinct sites (fractional):
Sr1 0.000 0.500 0.000 x2
Fe1 0.000 0.000 0.500 x1
Co1 0.500 0.500 0.500 x1
O1 0.000 0.000 0.000 x1
O2 0.251 0.251 0.500 x4
O3 0.500 0.500 0.000 x1

Largest 6 diffraction maxima, sorted by position, 2θ = 10–80°:
| index | 2theta | d/Å | intensity |
| --- | --- | --- | --- |
| 2 0 0 | 32.66 | 2.742 | 51 |
| 1 1 1 | 32.84 | 2.727 | 100 |
| 2 2 0 | 46.86 | 1.939 | 39 |
| 0 0 2 | 47.39 | 1.919 | 19 |
| 3 1 1 | 58.40 | 1.580 | 38 |
| 2 2 2 | 68.85 | 1.364 | 22 |